# MgMn8O13F3
Simulated XRD peak list, Cu Kα (λ = 1.5418 Å). Input: a crystal structure in Alexandria, relaxed with PBE+U.
Kinematic intensities with the Lorentz-polarization factor, no thermal factor.

Crystal structure
a = 5.7850 Å, b = 6.5517 Å, c = 7.2972 Å
α = 92.48°, β = 96.90°, γ = 92.57°
Fractional coordinates of all 25 atoms:
Mg 0.0000 0.0000 0.0000
Mn 0.0323 0.7307 0.6828
Mn 0.2459 0.5045 0.0046
Mn 0.4296 0.0322 0.4810
Mn 0.4623 0.5247 0.4762
Mn 0.4864 0.0170 0.9916
Mn 0.7437 0.2863 0.7655
Mn 0.7444 0.7421 0.2361
Mn 0.9259 0.3007 0.2913
O 0.0131 0.4689 0.7868
O 0.2193 0.3163 0.4435
O 0.2271 0.7957 0.9305
O 0.2564 0.2150 0.0360
O 0.2849 0.7632 0.5096
O 0.4889 0.0870 0.7423
O 0.4988 0.5408 0.2178
O 0.5238 0.9558 0.2473
O 0.6689 0.2855 0.4890
O 0.7118 0.8093 0.9872
O 0.7538 0.2140 0.0297
O 0.7550 0.7031 0.4992
O 0.9802 0.5579 0.1957
F 0.4883 0.5086 0.7446
F 0.9623 0.0261 0.7198
F 0.9884 0.9810 0.2785

The 10 most intense peaks (2θ from 10° to 80°), sorted by position:
| d [Å] | I (rel.) | h k l |
| --- | --- | --- |
| 3.881 | 52.6 | -1 1 1 |
| 3.460 | 41.4 | 1 1 1 |
| 3.244 | 50.9 | 1 0 -2 |
| 2.904 | 100.0 | 1 0 2 |
| 2.782 | 44.2 | 1 2 0 |
| 2.535 | 27.6 | 2 1 -1 |
| 2.487 | 23.6 | 0 2 -2 |
| 2.212 | 36.3 | 2 -2 0 |
| 2.104 | 24.7 | 2 2 0 |
| 1.809 | 32.0 | 0 0 4 |